This entry pairs a crystal structure of Cu10Sb with its theoretical X-ray diffraction stick pattern. Radiation: Cu Kα. Structure: a structure optimized by DFT (PBE).
No peak broadening, texture or thermal motion is included.

The 6 most intense peaks (2θ = 15–90°), in order of falling intensity:
2theta, intensity
43.8, 100
44.3, 81
42.0, 72
51.0, 49
43.1, 41
51.3, 31

Crystal structure
a b c (Å): 4.382 4.382 31.456
angles (deg): 90.16 90.16 48.28
Sites, in units of the cell vectors:
Cu (0.048, 0.048, 0.283)
Cu (0.051, 0.051, 0.538)
Cu (0.147, 0.147, 0.360)
Cu (0.152, 0.152, 0.615)
Cu (0.249, 0.249, 0.437)
Cu (0.253, 0.253, 0.691)
Cu (0.350, 0.350, 0.513)
Cu (0.355, 0.355, 0.256)
Cu (0.448, 0.448, 0.335)
Cu (0.451, 0.451, 0.589)
Cu (0.549, 0.549, 0.411)
Cu (0.552, 0.552, 0.665)
Cu (0.645, 0.645, 0.744)
Cu (0.650, 0.650, 0.487)
Cu (0.747, 0.747, 0.309)
Cu (0.751, 0.751, 0.563)
Cu (0.848, 0.848, 0.385)
Cu (0.853, 0.853, 0.640)
Cu (0.949, 0.949, 0.462)
Cu (0.952, 0.952, 0.717)
Sb (0.345, 0.345, 0.778)
Sb (0.655, 0.655, 0.222)


This entry pairs a crystal structure of Cu12Sb4TeSe12 with its theoretical X-ray diffraction stick pattern. Radiation: Cu Kα. Structure: a structure optimized by DFT (PBE).
No peak broadening, texture or thermal motion is included.

The 6 most intense peaks (2θ = 15–90°), in order of falling intensity:
2theta, intensity
28.2, 100
47.0, 79
55.7, 32
30.6, 25
87.3, 19
34.8, 17

Crystal structure
a b c (Å): 9.477 9.477 9.477
angles (deg): 109.47 109.47 109.47
Sites, in units of the cell vectors:
Cu (0.000, 0.235, 0.235)
Cu (0.000, 0.765, 0.765)
Cu (0.235, 0.000, 0.235)
Cu (0.235, 0.235, 0.000)
Cu (0.250, 0.500, 0.750)
Cu (0.250, 0.750, 0.500)
Cu (0.500, 0.250, 0.750)
Cu (0.500, 0.750, 0.250)
Cu (0.750, 0.250, 0.500)
Cu (0.750, 0.500, 0.250)
Cu (0.765, 0.000, 0.765)
Cu (0.765, 0.765, 0.000)
Sb (0.000, 0.000, 0.553)
Sb (0.000, 0.553, 0.000)
Sb (0.447, 0.447, 0.447)
Sb (0.553, 0.000, 0.000)
Te (0.000, 0.000, 0.000)
Se (0.000, 0.250, 0.488)
Se (0.000, 0.488, 0.250)
Se (0.238, 0.750, 0.750)
Se (0.250, 0.000, 0.488)
Se (0.250, 0.488, 0.000)
Se (0.488, 0.000, 0.250)
Se (0.488, 0.250, 0.000)
Se (0.512, 0.512, 0.762)
Se (0.512, 0.762, 0.512)
Se (0.750, 0.238, 0.750)
Se (0.750, 0.750, 0.238)
Se (0.762, 0.512, 0.512)


This entry pairs a crystal structure of Cu2SiSb with its theoretical X-ray diffraction stick pattern. Radiation: Cu Kα. Structure: a structure optimized by DFT (PBE).
No peak broadening, texture or thermal motion is included.

The 6 most intense peaks (2θ = 15–90°), in order of falling intensity:
2theta, intensity
39.7, 100
31.1, 30
72.1, 23
57.4, 13
59.3, 12
42.2, 11

Crystal structure
a b c (Å): 6.421 6.421 6.421
angles (deg): 90.00 90.00 90.00
Sites, in units of the cell vectors:
Cu (0.216, 0.216, 0.216)
Cu (0.216, 0.216, 0.784)
Cu (0.216, 0.784, 0.216)
Cu (0.216, 0.784, 0.784)
Cu (0.784, 0.216, 0.216)
Cu (0.784, 0.216, 0.784)
Cu (0.784, 0.784, 0.216)
Cu (0.784, 0.784, 0.784)
Si (0.000, 0.000, 0.000)
Si (0.000, 0.000, 0.500)
Si (0.000, 0.500, 0.000)
Si (0.500, 0.000, 0.000)
Sb (0.000, 0.500, 0.500)
Sb (0.500, 0.000, 0.500)
Sb (0.500, 0.500, 0.000)
Sb (0.500, 0.500, 0.500)


This entry pairs a crystal structure of SmCuSb2 with its theoretical X-ray diffraction stick pattern. Radiation: Cu Kα. Structure: a structure optimized by DFT (PBE).
No peak broadening, texture or thermal motion is included.

The 6 most intense peaks (2θ = 15–90°), in order of falling intensity:
2theta, intensity
34.2, 100
41.6, 44
71.2, 25
50.1, 23
33.9, 20
67.1, 16

Crystal structure
a b c (Å): 4.345 4.345 10.015
angles (deg): 90.00 90.00 90.00
Sites, in units of the cell vectors:
Sm (0.250, 0.250, 0.250)
Sm (0.750, 0.750, 0.750)
Cu (0.250, 0.750, 0.000)
Cu (0.750, 0.250, 0.000)
Sb (0.250, 0.250, 0.843)
Sb (0.250, 0.750, 0.500)
Sb (0.750, 0.250, 0.500)
Sb (0.750, 0.750, 0.157)


This entry pairs a crystal structure of Cu2SnSb with its theoretical X-ray diffraction stick pattern. Radiation: Cu Kα. Structure: a structure optimized by DFT (PBE).
No peak broadening, texture or thermal motion is included.

The 6 most intense peaks (2θ = 15–90°), in order of falling intensity:
2theta, intensity
37.8, 100
68.3, 34
54.6, 17
80.9, 11
26.5, 9
61.7, 4

Crystal structure
a b c (Å): 6.725 6.725 6.725
angles (deg): 90.00 90.00 90.00
Sites, in units of the cell vectors:
Cu (0.249, 0.249, 0.249)
Cu (0.249, 0.249, 0.751)
Cu (0.249, 0.751, 0.249)
Cu (0.249, 0.751, 0.751)
Cu (0.751, 0.249, 0.249)
Cu (0.751, 0.249, 0.751)
Cu (0.751, 0.751, 0.249)
Cu (0.751, 0.751, 0.751)
Sn (0.000, 0.000, 0.000)
Sn (0.000, 0.000, 0.500)
Sn (0.000, 0.500, 0.000)
Sn (0.500, 0.000, 0.000)
Sb (0.000, 0.500, 0.500)
Sb (0.500, 0.000, 0.500)
Sb (0.500, 0.500, 0.000)
Sb (0.500, 0.500, 0.500)


This entry pairs a crystal structure of Sr2CuSb2 with its theoretical X-ray diffraction stick pattern. Radiation: Cu Kα. Structure: a structure optimized by DFT (PBE).
No peak broadening, texture or thermal motion is included.

The 6 most intense peaks (2θ = 15–90°), in order of falling intensity:
2theta, intensity
27.2, 100
33.6, 99
32.5, 72
38.7, 61
24.7, 47
22.4, 43

Crystal structure
a b c (Å): 8.846 8.846 7.942
angles (deg): 90.00 90.00 149.46
Sites, in units of the cell vectors:
Sr (0.025, 0.975, 0.500)
Sr (0.214, 0.786, 0.189)
Sr (0.786, 0.214, 0.689)
Sr (0.975, 0.025, 0.000)
Cu (0.411, 0.589, 0.363)
Cu (0.589, 0.411, 0.863)
Sb (0.157, 0.843, 0.791)
Sb (0.434, 0.566, 0.713)
Sb (0.566, 0.434, 0.213)
Sb (0.843, 0.157, 0.291)


This entry pairs a crystal structure of TbYCu2Sb4 with its theoretical X-ray diffraction stick pattern. Radiation: Cu Kα. Structure: a structure optimized by DFT (PBE).
No peak broadening, texture or thermal motion is included.

The 6 most intense peaks (2θ = 15–90°), in order of falling intensity:
2theta, intensity
34.6, 100
42.0, 41
72.0, 23
50.9, 21
27.5, 18
30.7, 15

Crystal structure
a b c (Å): 4.304 4.304 9.863
angles (deg): 90.00 90.00 90.00
Sites, in units of the cell vectors:
Tb (0.000, 0.000, 0.000)
Y (0.500, 0.500, 0.501)
Cu (0.000, 0.500, 0.251)
Cu (0.500, 0.000, 0.251)
Sb (0.000, 0.000, 0.411)
Sb (0.000, 0.500, 0.751)
Sb (0.500, 0.000, 0.751)
Sb (0.500, 0.500, 0.090)


This entry pairs a crystal structure of Th2CuSb4 with its theoretical X-ray diffraction stick pattern. Radiation: Cu Kα. Structure: a structure optimized by DFT (PBE).
No peak broadening, texture or thermal motion is included.

The 6 most intense peaks (2θ = 15–90°), in order of falling intensity:
2theta, intensity
34.2, 100
40.7, 46
34.7, 40
22.1, 29
30.0, 26
69.9, 25

Crystal structure
a b c (Å): 4.436 4.436 9.537
angles (deg): 90.00 90.00 90.00
Sites, in units of the cell vectors:
Th (0.000, 0.500, 0.238)
Th (0.500, 0.000, 0.762)
Cu (0.500, 0.500, 0.000)
Sb (0.000, 0.000, 0.500)
Sb (0.000, 0.500, 0.853)
Sb (0.500, 0.000, 0.147)
Sb (0.500, 0.500, 0.500)


This entry pairs a crystal structure of ZnCu2Sb with its theoretical X-ray diffraction stick pattern. Radiation: Cu Kα. Structure: a structure optimized by DFT (PBE).
No peak broadening, texture or thermal motion is included.

The 6 most intense peaks (2θ = 15–90°), in order of falling intensity:
2theta, intensity
40.1, 100
72.8, 26
58.0, 15
31.4, 9
86.5, 8
28.0, 5

Crystal structure
a b c (Å): 6.364 6.364 6.364
angles (deg): 90.00 90.00 90.00
Sites, in units of the cell vectors:
Zn (0.000, 0.000, 0.000)
Zn (0.000, 0.000, 0.500)
Zn (0.000, 0.500, 0.000)
Zn (0.500, 0.000, 0.000)
Cu (0.222, 0.222, 0.222)
Cu (0.222, 0.222, 0.778)
Cu (0.222, 0.778, 0.222)
Cu (0.222, 0.778, 0.778)
Cu (0.778, 0.222, 0.222)
Cu (0.778, 0.222, 0.778)
Cu (0.778, 0.778, 0.222)
Cu (0.778, 0.778, 0.778)
Sb (0.000, 0.500, 0.500)
Sb (0.500, 0.000, 0.500)
Sb (0.500, 0.500, 0.000)
Sb (0.500, 0.500, 0.500)


This entry pairs a crystal structure of ScCu2 with its theoretical X-ray diffraction stick pattern. Radiation: Cu Kα. Structure: a structure optimized by DFT (PBE).
No peak broadening, texture or thermal motion is included.

The 6 most intense peaks (2θ = 15–90°), in order of falling intensity:
2theta, intensity
42.6, 100
38.6, 68
72.7, 36
55.8, 21
80.7, 13
82.9, 6

Crystal structure
a b c (Å): 3.295 3.295 8.311
angles (deg): 90.00 90.00 90.00
Sites, in units of the cell vectors:
Sc (0.250, 0.250, 0.250)
Sc (0.750, 0.750, 0.750)
Cu (0.250, 0.250, 0.577)
Cu (0.250, 0.250, 0.923)
Cu (0.750, 0.750, 0.077)
Cu (0.750, 0.750, 0.423)


This entry pairs a crystal structure of Sc2CuSe4 with its theoretical X-ray diffraction stick pattern. Radiation: Cu Kα. Structure: a structure optimized by DFT (PBE).
No peak broadening, texture or thermal motion is included.

The 6 most intense peaks (2θ = 15–90°), in order of falling intensity:
2theta, intensity
47.0, 100
32.8, 72
28.3, 64
27.1, 35
87.5, 32
55.8, 29

Crystal structure
a b c (Å): 7.727 7.727 7.727
angles (deg): 60.00 60.00 60.00
Sites, in units of the cell vectors:
Sc (0.000, 0.000, 0.000)
Sc (0.000, 0.000, 0.500)
Sc (0.000, 0.500, 0.000)
Sc (0.500, 0.000, 0.000)
Cu (0.375, 0.375, 0.375)
Cu (0.625, 0.625, 0.625)
Se (0.242, 0.753, 0.753)
Se (0.247, 0.247, 0.247)
Se (0.247, 0.247, 0.758)
Se (0.247, 0.758, 0.247)
Se (0.753, 0.242, 0.753)
Se (0.753, 0.753, 0.242)
Se (0.753, 0.753, 0.753)
Se (0.758, 0.247, 0.247)


This entry pairs a crystal structure of Sc3CuSe with its theoretical X-ray diffraction stick pattern. Radiation: Cu Kα. Structure: a structure optimized by DFT (PBE).
No peak broadening, texture or thermal motion is included.

The 6 most intense peaks (2θ = 15–90°), in order of falling intensity:
2theta, intensity
50.0, 100
33.5, 98
23.8, 96
34.8, 96
31.7, 78
38.5, 74

Crystal structure
a b c (Å): 6.187 6.187 9.645
angles (deg): 90.00 90.00 145.69
Sites, in units of the cell vectors:
Sc (0.083, 0.917, 0.750)
Sc (0.347, 0.653, 0.576)
Sc (0.347, 0.653, 0.924)
Sc (0.653, 0.347, 0.076)
Sc (0.653, 0.347, 0.424)
Sc (0.917, 0.083, 0.250)
Cu (0.252, 0.748, 0.250)
Cu (0.748, 0.252, 0.750)
Se (0.000, 0.000, 0.000)
Se (0.000, 0.000, 0.500)